No. 1
Starting from a crystal structure in OQMD, relaxed with PBE, the powder diffraction line list of LiPrNO was calculated for copper Kα.

Atomic structure:
```
data_LiPrNO
_space_group_name_H-M_alt 'P b c m'
_space_group_IT_number 57
_cell_length_a 6.879
_cell_length_b 5.814
_cell_length_c 4.832
_cell_angle_alpha 90.00
_cell_angle_beta 90.00
_cell_angle_gamma 90.00
loop_
_space_group_symop_operation_xyz
'x,y,z'
'-x,-y,-z'
'-x,-y,z+1/2'
'x,y,-z+1/2'
'x,-y+1/2,-z'
'-x,y+1/2,z'
'-x,y+1/2,-z+1/2'
'x,-y+1/2,z+1/2'
loop_
_atom_site_label
_atom_site_type_symbol
_atom_site_fract_x
_atom_site_fract_y
_atom_site_fract_z
_atom_site_occupancy
Li1 Li 0.101 0.013 0.250 1
Pr1 Pr 0.290 0.017 0.750 1
N1 N 0.027 0.750 0.000 1
O1 O 0.373 0.072 0.250 1
```

Principal peaks in the range 2θ from 5° to 70°, in order of rising 2θ:
2θ/deg  d [Å]  I/Imax
25.91  3.439  227
27.28  3.270  1000
30.75  2.907  241
37.21  2.416  166
40.63  2.220  201
46.54  1.951  213
49.02  1.858  181
52.59  1.740  171

=====

No. 2
Starting from a crystal structure in OQMD, relaxed with PBE, the powder diffraction line list of Gd2DyTl3Ni3 was calculated for copper Kα.

Atomic structure:
```
data_Gd2DyTl3Ni3
_space_group_name_H-M_alt 'A m m 2'
_space_group_IT_number 38
_cell_length_a 3.779
_cell_length_b 13.122
_cell_length_c 7.579
_cell_angle_alpha 90.00
_cell_angle_beta 90.00
_cell_angle_gamma 90.00
loop_
_space_group_symop_operation_xyz
'x,y,z'
'-x,-y,z'
'-x,y,z'
'x,-y,z'
'x,y+1/2,z+1/2'
'-x,-y+1/2,z+1/2'
'-x,y+1/2,z+1/2'
'x,-y+1/2,z+1/2'
loop_
_atom_site_label
_atom_site_type_symbol
_atom_site_fract_x
_atom_site_fract_y
_atom_site_fract_z
_atom_site_occupancy
Gd1 Gd 0.000 0.204 0.000 1
Dy1 Dy 0.000 0.000 0.612 1
Tl1 Tl 0.500 0.000 0.943 1
Tl2 Tl 0.500 0.130 0.335 1
Ni1 Ni 0.000 0.000 0.205 1
Ni2 Ni 0.500 0.166 0.704 1
```

Principal peaks in the range 2θ from 5° to 70°, in order of rising 2θ:
2θ/deg  d [Å]  I/Imax
23.49  3.787  147
33.49  2.675  892
36.24  2.479  1000
41.27  2.187  213
48.16  1.889  158
56.08  1.640  197
61.72  1.503  220
66.90  1.399  241

=====

No. 3
Starting from a crystal structure in OQMD, relaxed with PBE, the powder diffraction line list of Gd2TlZn2Ga was calculated for copper Kα.

Atomic structure:
```
data_Gd2TlZn2Ga
_space_group_name_H-M_alt 'P 3 m 1'
_space_group_IT_number 156
_cell_length_a 4.5722
_cell_length_b 4.5722
_cell_length_c 7.3476
_cell_angle_alpha 90.00
_cell_angle_beta 90.00
_cell_angle_gamma 120.00
loop_
_space_group_symop_operation_xyz
'x,y,z'
'-y,x-y,z'
'-x+y,-x,z'
'-y,-x,z'
'-x+y,y,z'
'x,x-y,z'
loop_
_atom_site_label
_atom_site_type_symbol
_atom_site_fract_x
_atom_site_fract_y
_atom_site_fract_z
_atom_site_occupancy
Gd1 Gd 0.0000 0.0000 0.0000 1
Gd2 Gd 0.0000 0.0000 0.4843 1
Tl1 Tl 0.3333 0.6667 0.7103 1
Zn1 Zn 0.3333 0.6667 0.2741 1
Zn2 Zn 0.6667 0.3333 0.8005 1
Ga1 Ga 0.6667 0.3333 0.2076 1
```

Principal peaks in the range 2θ from 5° to 70°, in order of rising 2θ:
2θ/deg  d [Å]  I/Imax
22.45  3.960  114
25.55  3.486  189
33.27  2.693  1000
39.42  2.286  641
43.44  2.083  120
52.51  1.743  275
65.15  1.432  169
67.59  1.386  256

=====

No. 4
Starting from a crystal structure in OQMD, relaxed with PBE, the powder diffraction line list of PrNiAs2Ir was calculated for copper Kα.

Atomic structure:
```
data_PrNiAs2Ir
_space_group_name_H-M_alt 'P 4/n m m'
_space_group_IT_number 129
_cell_length_a 4.207
_cell_length_b 4.207
_cell_length_c 9.957
_cell_angle_alpha 90.00
_cell_angle_beta 90.00
_cell_angle_gamma 90.00
loop_
_space_group_symop_operation_xyz
'x,y,z'
'-x,-y,-z'
'-y+1/2,x,z'
'y+1/2,-x,-z'
'-x+1/2,-y+1/2,z'
'x+1/2,y+1/2,-z'
'y,-x+1/2,z'
'-y,x+1/2,-z'
'x+1/2,-y,-z'
'-x+1/2,y,z'
'-y,-x,-z'
'y,x,z'
'-x,y+1/2,-z'
'x,-y+1/2,z'
'y+1/2,x+1/2,-z'
'-y+1/2,-x+1/2,z'
loop_
_atom_site_label
_atom_site_type_symbol
_atom_site_fract_x
_atom_site_fract_y
_atom_site_fract_z
_atom_site_occupancy
Pr1 Pr 0.250 0.250 0.245 1
Ni1 Ni 0.250 0.250 0.882 1
As1 As 0.250 0.250 0.645 1
As2 As 0.250 0.750 0.000 1
Ir1 Ir 0.250 0.750 0.500 1
```

Principal peaks in the range 2θ from 5° to 70°, in order of rising 2θ:
2θ/deg  d [Å]  I/Imax
8.88  9.957  353
34.42  2.606  297
35.14  2.554  1000
43.00  2.103  486
47.64  1.909  157
56.20  1.637  142
62.44  1.487  159
64.28  1.449  133

=====

No. 5
Starting from a crystal structure in OQMD, relaxed with PBE, the powder diffraction line list of CdSn2Te2F2 was calculated for copper Kα.

Atomic structure:
```
data_CdSn2Te2F2
_space_group_name_H-M_alt 'P -4 m 2'
_space_group_IT_number 115
_cell_length_a 4.150
_cell_length_b 4.150
_cell_length_c 9.849
_cell_angle_alpha 90.00
_cell_angle_beta 90.00
_cell_angle_gamma 90.00
loop_
_space_group_symop_operation_xyz
'x,y,z'
'y,-x,-z'
'-x,-y,z'
'-y,x,-z'
'-x,y,z'
'-y,-x,-z'
'x,-y,z'
'y,x,-z'
loop_
_atom_site_label
_atom_site_type_symbol
_atom_site_fract_x
_atom_site_fract_y
_atom_site_fract_z
_atom_site_occupancy
Cd1 Cd 0.000 0.000 0.000 1
Sn1 Sn 0.000 0.500 0.353 1
Te1 Te 0.000 0.500 0.803 1
F1 F 0.000 0.000 0.500 1
F2 F 0.500 0.500 0.500 1
```

Principal peaks in the range 2θ from 5° to 70°, in order of rising 2θ:
2θ/deg  d [Å]  I/Imax
28.12  3.174  1000
30.46  2.935  280
34.84  2.575  220
35.61  2.521  569
42.70  2.118  296
43.62  2.075  388
52.70  1.737  354
62.68  1.482  189

=====

No. 6
Starting from a crystal structure in OQMD, relaxed with PBE, the powder diffraction line list of CsNdAuSe3 was calculated for copper Kα.

Atomic structure:
```
data_CsNdAuSe3
_space_group_name_H-M_alt 'C m c m'
_space_group_IT_number 63
_space_group_name_Hall '-C 2c 2'
_cell_length_a 4.218
_cell_length_b 16.266
_cell_length_c 11.038
_cell_angle_alpha 90.00
_cell_angle_beta 90.00
_cell_angle_gamma 90.00
loop_
_atom_site_label
_atom_site_type_symbol
_atom_site_fract_x
_atom_site_fract_y
_atom_site_fract_z
_atom_site_occupancy
Cs1 Cs 0.000 0.248 0.250 1
Nd1 Nd 0.000 0.500 0.000 1
Au1 Au 0.000 0.035 0.750 1
Se1 Se 0.000 0.125 0.554 1
Se2 Se 0.000 0.433 0.750 1
```

Principal peaks in the range 2θ from 5° to 70°, in order of rising 2θ:
2θ/deg  d [Å]  I/Imax
10.88  8.133  974
27.20  3.278  461
28.00  3.187  1000
31.38  2.851  713
32.45  2.759  439
38.57  2.334  443
42.88  2.109  406
49.55  1.840  341

=====

No. 7
Starting from a crystal structure in OQMD, relaxed with PBE, the powder diffraction line list of SmGdDy2Tl2 was calculated for copper Kα.

Atomic structure:
```
data_SmGdDy2Tl2
_space_group_name_H-M_alt 'P -6 m 2'
_space_group_IT_number 187
_space_group_name_Hall 'P -6 2'
_cell_length_a 5.4421
_cell_length_b 5.4421
_cell_length_c 6.7360
_cell_angle_alpha 90.00
_cell_angle_beta 90.00
_cell_angle_gamma 120.00
loop_
_atom_site_label
_atom_site_type_symbol
_atom_site_fract_x
_atom_site_fract_y
_atom_site_fract_z
_atom_site_occupancy
Sm1 Sm 0.0000 0.0000 0.0000 1
Gd1 Gd 0.3333 0.6667 0.5000 1
Dy1 Dy 0.6667 0.3333 0.2529 1
Tl1 Tl 0.0000 0.0000 0.5000 1
Tl2 Tl 0.3333 0.6667 0.0000 1
```

Principal peaks in the range 2θ from 5° to 70°, in order of rising 2θ:
2θ/deg  d [Å]  I/Imax
32.68  2.740  878
32.92  2.721  1000
42.72  2.117  138
47.07  1.931  321
58.63  1.575  335
58.78  1.571  193
65.15  1.432  283
69.03  1.361  120

=====

No. 8
Starting from a crystal structure in OQMD, relaxed with PBE, the powder diffraction line list of Bi3Pd8 was calculated for copper Kα.

Atomic structure:
```
data_Bi3Pd8
_space_group_name_H-M_alt 'R 3'
_space_group_IT_number 146
_space_group_name_Hall 'R 3'
_cell_length_a 7.9353
_cell_length_b 7.9353
_cell_length_c 43.1832
_cell_angle_alpha 90.00
_cell_angle_beta 90.00
_cell_angle_gamma 120.00
loop_
_atom_site_label
_atom_site_type_symbol
_atom_site_fract_x
_atom_site_fract_y
_atom_site_fract_z
_atom_site_occupancy
Bi1 Bi 0.0000 0.0000 0.0000 1
Bi2 Bi 0.0000 0.0000 0.1459 1
Bi3 Bi 0.0000 0.0000 0.3422 1
Bi4 Bi 0.0000 0.0000 0.4981 1
Bi5 Bi 0.0000 0.0000 0.6455 1
Bi6 Bi 0.0000 0.0000 0.8420 1
Bi7 Bi 0.0222 0.6748 0.9109 1
Bi8 Bi 0.0236 0.3491 0.4107 1
Pd1 Pd 0.0000 0.0000 0.0667 1
Pd2 Pd 0.0000 0.0000 0.2109 1
Pd3 Pd 0.0000 0.0000 0.2785 1
Pd4 Pd 0.0000 0.0000 0.4308 1
Pd5 Pd 0.0000 0.0000 0.5646 1
Pd6 Pd 0.0000 0.0000 0.7107 1
Pd7 Pd 0.0000 0.0000 0.7783 1
Pd8 Pd 0.0000 0.0000 0.9324 1
Pd9 Pd 0.0033 0.3002 0.6108 1
Pd10 Pd 0.0039 0.7023 0.1111 1
Pd11 Pd 0.0091 0.3127 0.6776 1
Pd12 Pd 0.0118 0.6961 0.1781 1
Pd13 Pd 0.0301 0.6936 0.9765 1
Pd14 Pd 0.0307 0.3385 0.4766 1
Pd15 Pd 0.0357 0.3566 0.5437 1
Pd16 Pd 0.0357 0.6812 0.0438 1
```

Principal peaks in the range 2θ from 5° to 70°, in order of rising 2θ:
2θ/deg  d [Å]  I/Imax
25.64  3.475  133
31.80  2.814  98
34.60  2.593  57
38.64  2.330  582
39.32  2.291  1000
45.66  1.987  139
56.32  1.634  160
66.62  1.404  92

=====

No. 9
Starting from a crystal structure in OQMD, relaxed with PBE, the powder diffraction line list of LiFeI4 was calculated for copper Kα.

Atomic structure:
```
data_LiFeI4
_space_group_name_H-M_alt 'P 1 21/c 1'
_space_group_IT_number 14
_cell_length_a 8.067
_cell_length_b 7.644
_cell_length_c 14.677
_cell_angle_alpha 90.00
_cell_angle_beta 92.40
_cell_angle_gamma 90.00
loop_
_space_group_symop_operation_xyz
'x,y,z'
'-x,-y,-z'
'-x,y+1/2,-z+1/2'
'x,-y+1/2,z+1/2'
loop_
_atom_site_label
_atom_site_type_symbol
_atom_site_fract_x
_atom_site_fract_y
_atom_site_fract_z
_atom_site_occupancy
Li1 Li 0.146 0.017 0.378 1
Fe1 Fe 0.289 0.173 0.599 1
I1 I 0.063 0.177 0.190 1
I2 I 0.189 0.642 0.067 1
I3 I 0.312 0.175 0.946 1
I4 I 0.436 0.676 0.811 1
```

Principal peaks in the range 2θ from 5° to 70°, in order of rising 2θ:
2θ/deg  d [Å]  I/Imax
23.92  3.721  618
25.67  3.471  841
26.62  3.348  1000
26.97  3.306  996
27.41  3.254  949
41.29  2.187  595
45.81  1.981  646
49.50  1.841  426